This entry pairs a crystal structure of Rb2VFeO4 with its calculated X-ray diffraction stick pattern. Radiation: a wavelength of 1.5418 Å. Structure: a structure optimized by DFT (GGA+U).

Crystal structure
abc: 4.980 12.200 21.190
angles: 90.00 90.00 90.00
Space group Fddd (No. 70, origin choice 2)
Asymmetric unit:
Rb (0.125, 0.125, 0.297) x16
V (0.125, 0.125, 0.625) x8
Fe (0.125, 0.125, 0.125) x8
O (0.098, 0.289, 0.828) x32

Most intense lines, 10° ≤ 2θ ≤ 80°, most intense first:
2theta  Rel. int.  hkl
29.24  100  0 2 6
31.09  38  1 3 3
23.04  35  1 1 3
39.07  28  2 2 0
44.52  25  2 0 6
35.50  24  1 3 5
54.18  24  2 4 6
28.64  19  1 3 1
16.75  18  0 0 4
51.89  15  0 6 6
43.18  14  1 1 9
58.61  14  2 6 0